Theoretical X-ray diffraction stick pattern
Compound: Tb2NdHoSc
Radiation: Cu Kα X-rays
Structure: a PBE-relaxed structure
Intensities are scaled so that the largest is 1000.

Main lines, in order of falling intensity (2θ from 15° to 90°):
2θ 30.2, intensity 1000; 2θ 40.1, intensity 333; 2θ 34.5, intensity 263; 2θ 22.3, intensity 218; 2θ 66.8, intensity 207; 2θ 25.9, intensity 163

Crystal structure
Lattice parameters (Å, degrees): 8.583 8.583 6.364 90.00 90.00 136.45
Positions (direct):
Tb1 0.248 0.248 0.000
Tb2 0.248 0.248 0.500
Tb3 0.752 0.752 0.000
Tb4 0.752 0.752 0.500
Nd1 0.338 0.662 0.750
Nd2 0.662 0.338 0.250
Ho1 0.249 0.751 0.250
Ho2 0.751 0.249 0.750
Sc1 0.153 0.847 0.750
Sc2 0.847 0.153 0.250

---

Theoretical X-ray diffraction stick pattern
Compound: Nd4Ho2TmSc
Radiation: Cu Kα X-rays
Structure: a PBE-relaxed structure
Intensities are scaled so that the largest is 1000.

Main lines, in order of falling intensity (2θ from 15° to 90°):
2θ 30.7, intensity 1000; 2θ 35.2, intensity 349; 2θ 36.5, intensity 157; 2θ 60.4, intensity 146; 2θ 60.5, intensity 145; 2θ 62.2, intensity 132

Crystal structure
Lattice parameters (Å, degrees): 5.094 5.105 9.839 90.00 90.00 90.00
Positions (direct):
Nd1 0.000 0.000 0.246
Nd2 0.000 0.000 0.754
Nd3 0.500 0.500 0.246
Nd4 0.500 0.500 0.754
Ho1 0.000 0.500 0.000
Ho2 0.500 0.000 0.500
Tm1 0.000 0.500 0.500
Sc1 0.500 0.000 0.000

---

Theoretical X-ray diffraction stick pattern
Compound: Nd2Ho2TmSc2
Radiation: Cu Kα X-rays
Structure: a PBE-relaxed structure
Intensities are scaled so that the largest is 1000.

Main lines, in order of falling intensity (2θ from 15° to 90°):
2θ 31.2, intensity 1000; 2θ 27.9, intensity 527; 2θ 36.3, intensity 431; 2θ 32.3, intensity 430; 2θ 37.5, intensity 380; 2θ 64.5, intensity 282

Crystal structure
Lattice parameters (Å, degrees): 11.083 3.345 12.070 90.00 103.25 90.00
Positions (direct):
Nd1 0.226 0.000 0.355
Nd2 0.274 0.500 0.645
Nd3 0.726 0.500 0.355
Nd4 0.774 0.000 0.645
Ho1 0.090 0.000 0.796
Ho2 0.410 0.500 0.204
Ho3 0.590 0.500 0.796
Ho4 0.910 0.000 0.204
Tm1 0.000 0.000 0.500
Tm2 0.500 0.500 0.500
Sc1 0.155 0.000 0.069
Sc2 0.345 0.500 0.931
Sc3 0.655 0.500 0.069
Sc4 0.845 0.000 0.931

---

Theoretical X-ray diffraction stick pattern
Compound: NdY2Ho6Sc
Radiation: Cu Kα X-rays
Structure: a PBE-relaxed structure
Intensities are scaled so that the largest is 1000.

Main lines, in order of falling intensity (2θ from 15° to 90°):
2θ 33.0, intensity 1000; 2θ 30.9, intensity 914; 2θ 28.6, intensity 755; 2θ 30.7, intensity 619; 2θ 31.6, intensity 616; 2θ 30.1, intensity 600

Crystal structure
Lattice parameters (Å, degrees): 9.056 9.056 8.690 90.66 90.66 118.00
Positions (direct):
Nd1 0.037 0.963 0.750
Nd2 0.963 0.037 0.250
Y1 0.211 0.321 0.560
Y2 0.321 0.211 0.060
Y3 0.679 0.789 0.940
Y4 0.789 0.679 0.440
Ho1 0.041 0.461 0.297
Ho2 0.127 0.788 0.055
Ho3 0.212 0.873 0.445
Ho4 0.267 0.530 0.910
Ho5 0.461 0.041 0.797
Ho6 0.470 0.733 0.590
Ho7 0.530 0.267 0.410
Ho8 0.539 0.959 0.203
Ho9 0.733 0.470 0.090
Ho10 0.788 0.127 0.555
Ho11 0.873 0.212 0.945
Ho12 0.959 0.539 0.703
Sc1 0.439 0.561 0.250
Sc2 0.561 0.439 0.750

---

Theoretical X-ray diffraction stick pattern
Compound: Nd4YHo2Sc
Radiation: Cu Kα X-rays
Structure: a PBE-relaxed structure
Intensities are scaled so that the largest is 1000.

Main lines, in order of falling intensity (2θ from 15° to 90°):
2θ 30.6, intensity 1000; 2θ 35.1, intensity 348; 2θ 51.4, intensity 231; 2θ 36.3, intensity 157; 2θ 60.2, intensity 145; 2θ 60.3, intensity 144

Crystal structure
Lattice parameters (Å, degrees): 5.103 5.115 9.892 90.00 90.00 90.00
Positions (direct):
Nd1 0.000 0.000 0.244
Nd2 0.000 0.000 0.756
Nd3 0.500 0.500 0.244
Nd4 0.500 0.500 0.756
Y1 0.000 0.500 0.500
Ho1 0.000 0.500 0.000
Ho2 0.500 0.000 0.500
Sc1 0.500 0.000 0.000

---

Theoretical X-ray diffraction stick pattern
Compound: NdYHoSc
Radiation: Cu Kα X-rays
Structure: a PBE-relaxed structure
Intensities are scaled so that the largest is 1000.

Main lines, in order of falling intensity (2θ from 15° to 90°):
2θ 32.3, intensity 1000; 2θ 31.8, intensity 275; 2θ 57.0, intensity 255; 2θ 31.0, intensity 237; 2θ 15.4, intensity 194; 2θ 45.0, intensity 168

Crystal structure
Lattice parameters (Å, degrees): 12.140 5.625 3.816 90.00 108.29 90.00
Positions (direct):
Nd1 0.000 0.000 0.000
Nd2 0.500 0.500 0.000
Y1 0.277 0.000 0.779
Y2 0.777 0.500 0.779
Ho1 0.043 0.500 0.544
Ho2 0.543 0.000 0.544
Sc1 0.270 0.500 0.270
Sc2 0.770 0.000 0.270